No. 1
For KMgF3, a crystal structure in the Materials Project, relaxed with GGA-PBE gives the computed powder diffractogram in this record (Cu Kα (λ = 1.5418 Å)).
Neutral-atom scattering factors, no anomalous dispersion.

Main lines, in order of rising 2θ (2θ from 10° to 80°):
- 2θ 31.2, I 83
- 2θ 38.5, I 75
- 2θ 44.7, I 100
- 2θ 55.5, I 30
- 2θ 65.1, I 53
- 2θ 78.2, I 16

```
data_KMgF3
_chemical_formula_sum 'K1 Mg1 F3'
_cell_length_a 4.0534
_cell_length_b 4.0534
_cell_length_c 4.0534
_cell_angle_alpha 90.00
_cell_angle_beta 90.00
_cell_angle_gamma 90.00
_space_group_name_H-M_alt 'P 1'
_space_group_IT_number 1
_space_group_name_Hall 'P 1'
loop_
_atom_site_label
_atom_site_type_symbol
_atom_site_fract_x
_atom_site_fract_y
_atom_site_fract_z
K1 K 0.0000 0.0000 0.0000
Mg1 Mg 0.5000 0.5000 0.5000
F1 F 0.0000 0.5000 0.5000
F2 F 0.5000 0.0000 0.5000
F3 F 0.5000 0.5000 0.0000
```

---

No. 2
For KNaMg2F6, a crystal structure in the Materials Project, relaxed with GGA-PBE gives the computed powder diffractogram in this record (Cu Kα (λ = 1.5418 Å)).
Neutral-atom scattering factors, no anomalous dispersion.

Main lines, in order of rising 2θ (2θ from 10° to 80°):
- 2θ 31.6, I 95
- 2θ 39.0, I 100
- 2θ 45.3, I 99
- 2θ 45.4, I 49
- 2θ 56.3, I 37
- 2θ 66.0, I 77

```
data_KNaMg2F6
_chemical_formula_sum 'K1 Na1 Mg2 F6'
_cell_length_a 4.0076
_cell_length_b 4.0076
_cell_length_c 7.9949
_cell_angle_alpha 90.00
_cell_angle_beta 90.00
_cell_angle_gamma 90.00
_space_group_name_H-M_alt 'P 1'
_space_group_IT_number 1
_space_group_name_Hall 'P 1'
loop_
_atom_site_label
_atom_site_type_symbol
_atom_site_fract_x
_atom_site_fract_y
_atom_site_fract_z
K1 K 0.0000 0.0000 0.0000
Na1 Na 0.0000 0.0000 0.5000
Mg1 Mg 0.5000 0.5000 0.2534
Mg2 Mg 0.5000 0.5000 0.7466
F1 F 0.0000 0.5000 0.2565
F2 F 0.0000 0.5000 0.7435
F3 F 0.5000 0.0000 0.2565
F4 F 0.5000 0.0000 0.7435
F5 F 0.5000 0.5000 0.0000
F6 F 0.5000 0.5000 0.5000
```

---

No. 3
For KNaMg2F6, a crystal structure in the Materials Project, relaxed with GGA-PBE gives the computed powder diffractogram in this record (Cu Kα (λ = 1.5418 Å)).
Neutral-atom scattering factors, no anomalous dispersion.

Main lines, in order of rising 2θ (2θ from 10° to 80°):
- 2θ 31.6, I 64
- 2θ 38.9, I 68
- 2θ 45.3, I 100
- 2θ 56.2, I 25
- 2θ 65.9, I 52
- 2θ 79.3, I 13

```
data_KNaMg2F6
_chemical_formula_sum 'K1 Na1 Mg2 F6'
_cell_length_a 5.6675
_cell_length_b 5.6675
_cell_length_c 5.6675
_cell_angle_alpha 60.00
_cell_angle_beta 60.00
_cell_angle_gamma 60.00
_space_group_name_H-M_alt 'P 1'
_space_group_IT_number 1
_space_group_name_Hall 'P 1'
loop_
_atom_site_label
_atom_site_type_symbol
_atom_site_fract_x
_atom_site_fract_y
_atom_site_fract_z
K1 K 0.0000 0.0000 0.0000
Na1 Na 0.5000 0.5000 0.5000
Mg1 Mg 0.2500 0.2500 0.2500
Mg2 Mg 0.7500 0.7500 0.7500
F1 F 0.0000 0.0000 0.5000
F2 F 0.0000 0.5000 0.0000
F3 F 0.0000 0.5000 0.5000
F4 F 0.5000 0.0000 0.0000
F5 F 0.5000 0.0000 0.5000
F6 F 0.5000 0.5000 0.0000
```

---

No. 4
For K2Na2MgNb2O2F10, a crystal structure in the Materials Project, relaxed with GGA-PBE gives the computed powder diffractogram in this record (Cu Kα (λ = 1.5418 Å)).
Neutral-atom scattering factors, no anomalous dispersion.

Main lines, in order of rising 2θ (2θ from 10° to 80°):
- 2θ 17.7, I 100
- 2θ 20.6, I 51
- 2θ 29.1, I 74
- 2θ 29.3, I 33
- 2θ 41.9, I 55
- 2θ 51.9, I 27

```
data_K2Na2MgNb2O2F10
_chemical_formula_sum 'K2 Na2 Mg1 Nb2 O2 F10'
_cell_length_a 6.0917
_cell_length_b 6.0917
_cell_length_c 8.7510
_cell_angle_alpha 90.00
_cell_angle_beta 90.00
_cell_angle_gamma 90.00
_space_group_name_H-M_alt 'P 1'
_space_group_IT_number 1
_space_group_name_Hall 'P 1'
loop_
_atom_site_label
_atom_site_type_symbol
_atom_site_fract_x
_atom_site_fract_y
_atom_site_fract_z
K1 K 0.0000 0.0000 0.0000
K2 K 0.5000 0.5000 0.0000
Na1 Na 0.0000 0.5000 0.2626
Na2 Na 0.5000 0.0000 0.7374
Mg1 Mg 0.5000 0.5000 0.5000
Nb1 Nb 0.0000 0.5000 0.7379
Nb2 Nb 0.5000 0.0000 0.2621
O1 O 0.0000 0.5000 0.5341
O2 O 0.5000 0.0000 0.4659
F1 F 0.0000 0.5000 0.9876
F2 F 0.2295 0.2666 0.7754
F3 F 0.2295 0.7334 0.7754
F4 F 0.2666 0.2295 0.2246
F5 F 0.2666 0.7705 0.2246
F6 F 0.5000 0.0000 0.0124
F7 F 0.7334 0.2295 0.2246
F8 F 0.7334 0.7705 0.2246
F9 F 0.7705 0.2666 0.7754
F10 F 0.7705 0.7334 0.7754
```

---

No. 5
For K2Na2MgNb2O2F10, a crystal structure in the Materials Project, relaxed with GGA-PBE gives the computed powder diffractogram in this record (Cu Kα (λ = 1.5418 Å)).
Neutral-atom scattering factors, no anomalous dispersion.

Main lines, in order of rising 2θ (2θ from 10° to 80°):
- 2θ 17.0, I 100
- 2θ 18.3, I 66
- 2θ 21.3, I 21
- 2θ 26.8, I 21
- 2θ 37.2, I 21
- 2θ 43.5, I 22

```
data_K2Na2MgNb2O2F10
_chemical_formula_sum 'K2 Na2 Mg1 Nb2 O2 F10'
_cell_length_a 6.3822
_cell_length_b 6.3822
_cell_length_c 9.1857
_cell_angle_alpha 90.14
_cell_angle_beta 90.14
_cell_angle_gamma 98.56
_space_group_name_H-M_alt 'P 1'
_space_group_IT_number 1
_space_group_name_Hall 'P 1'
loop_
_atom_site_label
_atom_site_type_symbol
_atom_site_fract_x
_atom_site_fract_y
_atom_site_fract_z
K1 K 0.1799 0.8201 0.0000
K2 K 0.8201 0.1799 0.0000
Na1 Na 0.2454 0.2454 0.7094
Na2 Na 0.7546 0.7546 0.2906
Mg1 Mg 0.5000 0.5000 0.0000
Nb1 Nb 0.2473 0.2473 0.2753
Nb2 Nb 0.7527 0.7527 0.7247
O1 O 0.2517 0.2517 0.4668
O2 O 0.7483 0.7483 0.5332
F1 F 0.0072 0.0072 0.2131
F2 F 0.0477 0.4562 0.2009
F3 F 0.2740 0.2740 0.9945
F4 F 0.4562 0.0477 0.2009
F5 F 0.4957 0.4957 0.2087
F6 F 0.5043 0.5043 0.7913
F7 F 0.5438 0.9523 0.7991
F8 F 0.7260 0.7260 0.0055
F9 F 0.9523 0.5438 0.7991
F10 F 0.9928 0.9928 0.7869
```

---

No. 6
For K2NaMgTiOF5, a crystal structure in the Materials Project, relaxed with GGA-PBE gives the computed powder diffractogram in this record (Cu Kα (λ = 1.5418 Å)).
Neutral-atom scattering factors, no anomalous dispersion.

Main lines, in order of rising 2θ (2θ from 10° to 80°):
- 2θ 16.9, I 100
- 2θ 29.4, I 99
- 2θ 29.5, I 46
- 2θ 34.3, I 50
- 2θ 41.2, I 46
- 2θ 42.3, I 67

```
data_K2NaMgTiOF5
_chemical_formula_sum 'K2 Na1 Mg1 Ti1 O1 F5'
_cell_length_a 6.7549
_cell_length_b 6.7549
_cell_length_c 6.0633
_cell_angle_alpha 115.91
_cell_angle_beta 115.91
_cell_angle_gamma 101.56
_space_group_name_H-M_alt 'P 1'
_space_group_IT_number 1
_space_group_name_Hall 'P 1'
loop_
_atom_site_label
_atom_site_type_symbol
_atom_site_fract_x
_atom_site_fract_y
_atom_site_fract_z
K1 K 0.1820 0.8180 0.0000
K2 K 0.8180 0.1820 0.0000
Na1 Na 0.5607 0.5607 0.5678
Mg1 Mg 0.5814 0.5814 0.0992
Ti1 Ti 0.0604 0.0604 0.5911
O1 O 0.8186 0.8186 0.5448
F1 F 0.3016 0.9077 0.6131
F2 F 0.3330 0.3330 0.0705
F3 F 0.3462 0.3462 0.6491
F4 F 0.8095 0.8095 0.0854
F5 F 0.9077 0.3016 0.6131
```

---

No. 7
For K2NaMgTiOF5, a crystal structure in the Materials Project, relaxed with GGA-PBE gives the computed powder diffractogram in this record (Cu Kα (λ = 1.5418 Å)).
Neutral-atom scattering factors, no anomalous dispersion.

Main lines, in order of rising 2θ (2θ from 10° to 80°):
- 2θ 16.5, I 58
- 2θ 17.1, I 43
- 2θ 26.8, I 61
- 2θ 29.0, I 38
- 2θ 29.2, I 43
- 2θ 42.7, I 100

```
data_K2NaMgTiOF5
_chemical_formula_sum 'K2 Na1 Mg1 Ti1 O1 F5'
_cell_length_a 6.8384
_cell_length_b 6.8384
_cell_length_c 6.8384
_cell_angle_alpha 128.85
_cell_angle_beta 127.10
_cell_angle_gamma 76.67
_space_group_name_H-M_alt 'P 1'
_space_group_IT_number 1
_space_group_name_Hall 'P 1'
loop_
_atom_site_label
_atom_site_type_symbol
_atom_site_fract_x
_atom_site_fract_y
_atom_site_fract_z
K1 K 0.0000 0.0000 0.0000
K2 K 0.3871 0.3871 0.0000
Na1 Na 0.6623 0.1623 0.5000
Mg1 Mg 0.6968 0.6968 0.0000
Ti1 Ti 0.2325 0.7325 0.5000
O1 O 0.0712 0.5712 0.5000
F1 F 0.4398 0.9398 0.5000
F2 F 0.5324 0.5335 0.5509
F3 F 0.5324 0.9815 0.9989
F4 F 0.9826 0.5335 0.0011
F5 F 0.9826 0.9815 0.4491
```

---

No. 8
For K2NaMgTiOF5, a crystal structure in the Materials Project, relaxed with GGA-PBE gives the computed powder diffractogram in this record (Cu Kα (λ = 1.5418 Å)).
Neutral-atom scattering factors, no anomalous dispersion.

Main lines, in order of rising 2θ (2θ from 10° to 80°):
- 2θ 28.5, I 100
- 2θ 28.8, I 38
- 2θ 29.6, I 90
- 2θ 42.8, I 42
- 2θ 50.3, I 34
- 2θ 50.8, I 29

```
data_K2NaMgTiOF5
_chemical_formula_sum 'K2 Na1 Mg1 Ti1 O1 F5'
_cell_length_a 6.0609
_cell_length_b 6.0609
_cell_length_c 7.4388
_cell_angle_alpha 118.38
_cell_angle_beta 118.38
_cell_angle_gamma 61.63
_space_group_name_H-M_alt 'P 1'
_space_group_IT_number 1
_space_group_name_Hall 'P 1'
loop_
_atom_site_label
_atom_site_type_symbol
_atom_site_fract_x
_atom_site_fract_y
_atom_site_fract_z
K1 K 0.0000 0.0000 0.0000
K2 K 0.5729 0.5729 0.7476
Na1 Na 0.2259 0.2259 0.6427
Mg1 Mg 0.4028 0.4028 0.1461
Ti1 Ti 0.8011 0.8011 0.3742
O1 O 0.6030 0.6030 0.1644
F1 F 0.0545 0.6391 0.6062
F2 F 0.0632 0.5000 0.9356
F3 F 0.5000 0.0632 0.9356
F4 F 0.6391 0.0545 0.6062
F5 F 0.9791 0.9791 0.3571
```

---

No. 9
For K2NaNbF6, a crystal structure in the Materials Project, relaxed with GGA-PBE gives the computed powder diffractogram in this record (Cu Kα (λ = 1.5418 Å)).
Neutral-atom scattering factors, no anomalous dispersion.

Main lines, in order of rising 2θ (2θ from 10° to 80°):
- 2θ 17.6, I 52
- 2θ 20.4, I 28
- 2θ 29.0, I 100
- 2θ 41.4, I 69
- 2θ 51.3, I 38
- 2θ 60.0, I 39

```
data_K2NaNbF6
_chemical_formula_sum 'K2 Na1 Nb1 F6'
_cell_length_a 6.1658
_cell_length_b 6.1658
_cell_length_c 6.1658
_cell_angle_alpha 60.00
_cell_angle_beta 60.00
_cell_angle_gamma 60.00
_space_group_name_H-M_alt 'P 1'
_space_group_IT_number 1
_space_group_name_Hall 'P 1'
loop_
_atom_site_label
_atom_site_type_symbol
_atom_site_fract_x
_atom_site_fract_y
_atom_site_fract_z
K1 K 0.2500 0.2500 0.2500
K2 K 0.7500 0.7500 0.7500
Na1 Na 0.0000 0.0000 0.0000
Nb1 Nb 0.5000 0.5000 0.5000
F1 F 0.2587 0.2587 0.7413
F2 F 0.2587 0.7413 0.2587
F3 F 0.2587 0.7413 0.7413
F4 F 0.7413 0.2587 0.2587
F5 F 0.7413 0.2587 0.7413
F6 F 0.7413 0.7413 0.2587
```

---

No. 10
For KNa2NbF6, a crystal structure in the Materials Project, relaxed with GGA-PBE gives the computed powder diffractogram in this record (Cu Kα (λ = 1.5418 Å)).
Neutral-atom scattering factors, no anomalous dispersion.

Main lines, in order of rising 2θ (2θ from 10° to 80°):
- 2θ 16.8, I 52
- 2θ 19.4, I 95
- 2θ 27.6, I 100
- 2θ 39.4, I 74
- 2θ 48.7, I 37
- 2θ 56.9, I 42

```
data_KNa2NbF6
_chemical_formula_sum 'K1 Na2 Nb1 F6'
_cell_length_a 6.4752
_cell_length_b 6.4752
_cell_length_c 6.4752
_cell_angle_alpha 60.00
_cell_angle_beta 60.00
_cell_angle_gamma 60.00
_space_group_name_H-M_alt 'P 1'
_space_group_IT_number 1
_space_group_name_Hall 'P 1'
loop_
_atom_site_label
_atom_site_type_symbol
_atom_site_fract_x
_atom_site_fract_y
_atom_site_fract_z
K1 K 0.0000 0.0000 0.0000
Na1 Na 0.2500 0.2500 0.2500
Na2 Na 0.7500 0.7500 0.7500
Nb1 Nb 0.5000 0.5000 0.5000
F1 F 0.2729 0.2729 0.7271
F2 F 0.2729 0.7271 0.2729
F3 F 0.2729 0.7271 0.7271
F4 F 0.7271 0.2729 0.2729
F5 F 0.7271 0.2729 0.7271
F6 F 0.7271 0.7271 0.2729
```

---

No. 11
For K2NaNdF6, a crystal structure in the Materials Project, relaxed with GGA-PBE gives the computed powder diffractogram in this record (Cu Kα (λ = 1.5418 Å)).
Neutral-atom scattering factors, no anomalous dispersion.

Main lines, in order of rising 2θ (2θ from 10° to 80°):
- 2θ 16.9, I 70
- 2θ 19.5, I 42
- 2θ 27.7, I 100
- 2θ 32.6, I 42
- 2θ 39.6, I 57
- 2θ 49.0, I 41

```
data_K2NaNdF6
_chemical_formula_sum 'K2 Na1 Nd1 F6'
_cell_length_a 6.4368
_cell_length_b 6.4368
_cell_length_c 6.4368
_cell_angle_alpha 60.00
_cell_angle_beta 60.00
_cell_angle_gamma 60.00
_space_group_name_H-M_alt 'P 1'
_space_group_IT_number 1
_space_group_name_Hall 'P 1'
loop_
_atom_site_label
_atom_site_type_symbol
_atom_site_fract_x
_atom_site_fract_y
_atom_site_fract_z
K1 K 0.2500 0.2500 0.2500
K2 K 0.7500 0.7500 0.7500
Na1 Na 0.0000 0.0000 0.0000
Nd1 Nd 0.5000 0.5000 0.5000
F1 F 0.2506 0.2506 0.7494
F2 F 0.2506 0.7494 0.2506
F3 F 0.2506 0.7494 0.7494
F4 F 0.7494 0.2506 0.2506
F5 F 0.7494 0.2506 0.7494
F6 F 0.7494 0.7494 0.2506
```

---

No. 12
For K3NaP2O6F2, a crystal structure in the Materials Project, relaxed with GGA-PBE gives the computed powder diffractogram in this record (Cu Kα (λ = 1.5418 Å)).
Neutral-atom scattering factors, no anomalous dispersion.

Main lines, in order of rising 2θ (2θ from 10° to 80°):
- 2θ 21.2, I 17
- 2θ 29.6, I 55
- 2θ 30.6, I 100
- 2θ 35.9, I 18
- 2θ 43.1, I 47
- 2θ 63.7, I 20

```
data_K3NaP2O6F2
_chemical_formula_sum 'K3 Na1 P2 O6 F2'
_cell_length_a 5.8411
_cell_length_b 5.8411
_cell_length_c 7.5063
_cell_angle_alpha 90.00
_cell_angle_beta 90.00
_cell_angle_gamma 120.00
_space_group_name_H-M_alt 'P 1'
_space_group_IT_number 1
_space_group_name_Hall 'P 1'
loop_
_atom_site_label
_atom_site_type_symbol
_atom_site_fract_x
_atom_site_fract_y
_atom_site_fract_z
K1 K 0.0000 0.0000 0.0000
K2 K 0.3333 0.6667 0.3279
K3 K 0.6667 0.3333 0.6721
Na1 Na 0.0000 0.0000 0.5000
P1 P 0.3333 0.6667 0.7529
P2 P 0.6667 0.3333 0.2471
O1 O 0.1869 0.3739 0.7054
O2 O 0.1869 0.8131 0.7054
O3 O 0.3739 0.1869 0.2946
O4 O 0.6261 0.8131 0.7054
O5 O 0.8131 0.1869 0.2946
O6 O 0.8131 0.6261 0.2946
F1 F 0.3333 0.6667 0.9739
F2 F 0.6667 0.3333 0.0261
```

---

No. 13
For KNa2RhF6, a crystal structure in the Materials Project, relaxed with GGA-PBE gives the computed powder diffractogram in this record (Cu Kα (λ = 1.5418 Å)).
Neutral-atom scattering factors, no anomalous dispersion.

Main lines, in order of rising 2θ (2θ from 10° to 80°):
- 2θ 17.3, I 61
- 2θ 20.0, I 96
- 2θ 28.4, I 100
- 2θ 40.6, I 67
- 2θ 50.3, I 37
- 2θ 58.7, I 37

```
data_KNa2RhF6
_chemical_formula_sum 'K1 Na2 Rh1 F6'
_cell_length_a 6.2876
_cell_length_b 6.2876
_cell_length_c 6.2876
_cell_angle_alpha 60.00
_cell_angle_beta 60.00
_cell_angle_gamma 60.00
_space_group_name_H-M_alt 'P 1'
_space_group_IT_number 1
_space_group_name_Hall 'P 1'
loop_
_atom_site_label
_atom_site_type_symbol
_atom_site_fract_x
_atom_site_fract_y
_atom_site_fract_z
K1 K 0.0000 0.0000 0.0000
Na1 Na 0.2500 0.2500 0.2500
Na2 Na 0.7500 0.7500 0.7500
Rh1 Rh 0.5000 0.5000 0.5000
F1 F 0.2750 0.2750 0.7250
F2 F 0.2750 0.7250 0.2750
F3 F 0.2750 0.7250 0.7250
F4 F 0.7250 0.2750 0.2750
F5 F 0.7250 0.2750 0.7250
F6 F 0.7250 0.7250 0.2750
```